Calculated powder XRD pattern
Compound: Dy3Al3Cd
Radiation: λ = 1.5418 Å (Cu Kα)
Structure: the PBE geometry in Alexandria

Peak list (6 most intense, 2θ from 10° to 90°, sorted by position)
Position (°2θ)  d/Å  Rel. int.
21.30  4.171  67
31.05  2.881  97
31.60  2.831  65
31.79  2.815  100
38.24  2.353  68
39.62  2.275  62

Atomic structure:
```
14
Lattice="5.530 -2.275 0.000 5.530 2.275 0.000 -4.719 0.000 13.543" Properties=species:S:1:pos:R:3 pbc="T T T"
Dy -1.447 0.000 5.107
Dy -3.219 0.000 12.481
Dy 1.594 0.000 2.933
Dy 4.747 0.000 10.610
Dy 9.559 0.000 1.062
Dy 7.788 0.000 8.437
Al 2.046 0.000 6.109
Al -0.056 0.000 12.560
Al 1.580 0.000 10.449
Al 4.760 0.000 3.094
Al 6.397 0.000 0.983
Al 4.294 0.000 7.434
Cd -0.020 0.000 8.200
Cd 6.360 0.000 5.343
```

Calculated powder XRD pattern
Compound: Er3Al2Cd2
Radiation: λ = 1.5418 Å (Cu Kα)
Structure: the PBE geometry in Alexandria

Peak list (6 most intense, 2θ from 10° to 90°, sorted by position)
Position (°2θ)  d/Å  Rel. int.
28.87  3.093  41
33.27  2.693  100
35.39  2.536  70
36.01  2.494  71
40.94  2.204  28
55.65  1.652  40

Atomic structure:
```
14
Lattice="4.408 0.000 0.000 0.000 21.699 0.000 0.000 0.000 3.444" Properties=species:S:1:pos:R:3 pbc="T T T"
Er 0.000 0.000 0.000
Er 0.000 3.497 0.000
Er 0.000 18.202 0.000
Er 2.204 7.352 0.000
Er 2.204 10.850 0.000
Er 2.204 14.347 0.000
Al 0.000 6.122 1.722
Al 0.000 15.578 1.722
Al 2.204 4.728 1.722
Al 2.204 16.972 1.722
Cd 0.000 9.123 1.722
Cd 0.000 12.577 1.722
Cd 2.204 1.727 1.722
Cd 2.204 19.972 1.722
```

Calculated powder XRD pattern
Compound: Er2Al2CdPd5
Radiation: λ = 1.5418 Å (Cu Kα)
Structure: the PBE geometry in Alexandria

Peak list (6 most intense, 2θ from 10° to 90°, sorted by position)
Position (°2θ)  d/Å  Rel. int.
31.53  2.837  64
35.27  2.544  37
37.21  2.416  68
37.58  2.393  100
40.84  2.210  31
63.56  1.464  28

Atomic structure:
```
20
Lattice="9.963 0.000 0.000 0.000 9.963 0.000 0.000 0.000 3.680" Properties=species:S:1:pos:R:3 pbc="T T T"
Er 1.777 3.204 0.000
Er 3.204 8.186 0.000
Er 6.759 1.777 0.000
Er 8.186 6.759 0.000
Al 1.184 6.166 0.000
Al 3.797 1.184 0.000
Al 6.166 8.779 0.000
Al 8.779 3.797 0.000
Cd 0.000 0.000 0.000
Cd 4.982 4.982 0.000
Pd 0.000 4.982 1.840
Pd 0.665 7.836 1.840
Pd 2.127 0.665 1.840
Pd 2.855 5.646 1.840
Pd 4.317 2.855 1.840
Pd 4.982 0.000 1.840
Pd 5.646 7.108 1.840
Pd 7.108 4.317 1.840
Pd 7.836 9.298 1.840
Pd 9.298 2.127 1.840
```

Calculated powder XRD pattern
Compound: ErAlCdS4
Radiation: λ = 1.5418 Å (Cu Kα)
Structure: the PBE geometry in Alexandria

Peak list (6 most intense, 2θ from 10° to 90°, sorted by position)
Position (°2θ)  d/Å  Rel. int.
23.22  3.830  32
23.61  3.768  36
27.22  3.276  100
27.28  3.269  49
43.81  2.067  41
47.48  1.915  59

Atomic structure:
```
14
Lattice="-3.768 3.859 5.441 3.768 -3.859 5.441 3.768 3.859 -5.441" Properties=species:S:1:pos:R:3 pbc="T T T"
Er 0.000 0.000 0.000
Er 0.000 3.859 0.000
Al -1.884 1.930 2.721
Al 1.884 1.930 2.721
Cd 3.768 1.930 -1.379
Cd 0.000 1.930 6.820
S 1.831 1.930 0.266
S 1.938 -1.930 5.707
S 0.000 0.284 2.707
S 3.768 0.284 2.734
S 0.000 3.576 2.707
S 3.768 3.576 2.734
S 1.831 5.789 -0.266
S 1.938 1.930 5.176
```